# 1
Structure and calculated powder X-ray diffraction pattern of K3NaHf2Si3O12 (a structure optimized by DFT (PBE); Cu Kα (weighted mean of Kα1 and Kα2)).
Peak positions follow from Bragg's law for the DFT cell and can differ from measured ones.

Largest 10 diffraction maxima, by angle, 10 to 90 degrees two-theta:
(0 1 2), d 6.604, I 24
(1 1 0), d 4.707, I 82
(1 0 4), d 4.634, I 86
(0 2 4), d 3.302, I 40
(1 1 6), d 2.935, I 100
(3 0 0), d 2.718, I 70
(2 1 4), d 2.703, I 30
(2 2 6), d 1.994, I 37
(2 1 10), d 1.819, I 24
(1 4 6), d 1.608, I 31

Atomic structure:
```
data_K3NaHf2Si3O12
_chemical_formula_sum 'K18 Na6 Hf12 Si18 O72'
_cell_length_a 9.4144
_cell_length_b 9.4144
_cell_length_c 22.5254
_cell_angle_alpha 90.00
_cell_angle_beta 90.00
_cell_angle_gamma 120.00
_symmetry_space_group_name_H-M 'R -3 c'
_symmetry_Int_Tables_number 167
_symmetry_space_group_name_Hall '-R 3 2"c'
loop_
_atom_site_label
_atom_site_type_symbol
_atom_site_fract_x
_atom_site_fract_y
_atom_site_fract_z
_atom_site_occupancy
K1 K 0.0000 0.3419 0.2500 1
Na1 Na 0.0000 0.0000 0.0000 1
Hf1 Hf 0.0000 0.0000 0.1482 1
Si1 Si 0.0000 0.2985 0.7500 1
O1 O 0.0133 0.1837 0.4112 1
O2 O 0.0205 0.1999 0.6931 1
```

---

# 2
Structure and calculated powder X-ray diffraction pattern of KNdHf4O12 (a structure optimized by DFT (PBE); Cu Kα (weighted mean of Kα1 and Kα2)).
Peak positions follow from Bragg's law for the DFT cell and can differ from measured ones.

Largest 10 diffraction maxima, by angle, 10 to 90 degrees two-theta:
(1 1 1), d 4.735, I 19
(0 0 2), d 4.121, I 62
(0 2 0), d 4.061, I 30
(2 0 2), d 2.914, I 49
(2 2 0), d 2.893, I 100
(4 0 0), d 2.064, I 15
(0 0 4), d 2.056, I 15
(4 2 2), d 1.680, I 22
(2 2 4), d 1.677, I 21
(2 4 2), d 1.666, I 20

Atomic structure:
```
data_KNdHf4O12
_chemical_formula_sum 'K2 Nd2 Hf8 O24'
_cell_length_a 8.258
_cell_length_b 8.123
_cell_length_c 8.225
_cell_angle_alpha 90.00
_cell_angle_beta 90.00
_cell_angle_gamma 90.00
_symmetry_space_group_name_H-M 'A m m 2'
_symmetry_Int_Tables_number 38
loop_
_symmetry_equiv_pos_as_xyz
'x,y,z'
'-x,-y,z'
'-x,y,z'
'x,-y,z'
'x,y+1/2,z+1/2'
'-x,-y+1/2,z+1/2'
'-x,y+1/2,z+1/2'
'x,-y+1/2,z+1/2'
loop_
_atom_site_label
_atom_site_type_symbol
_atom_site_fract_x
_atom_site_fract_y
_atom_site_fract_z
_atom_site_occupancy
K1 K 0.000 0.000 0.000 1
Nd1 Nd 0.500 0.000 0.463 1
Hf1 Hf 0.245 0.243 0.733 1
O1 O 0.000 0.230 0.736 1
O2 O 0.255 0.000 0.256 1
O3 O 0.270 0.241 0.984 1
O4 O 0.304 0.000 0.698 1
O5 O 0.500 0.214 0.254 1
```

---

# 3
Structure and calculated powder X-ray diffraction pattern of KNdHfSnO6 (a structure optimized by DFT (PBE); Cu Kα (weighted mean of Kα1 and Kα2)).
Peak positions follow from Bragg's law for the DFT cell and can differ from measured ones.

Largest 10 diffraction maxima, by angle, 10 to 90 degrees two-theta:
(1 1 1), d 4.736, I 15
(2 0 0), d 4.102, I 13
(2 2 0), d 2.900, I 100
(3 1 1), d 2.473, I 9
(4 0 0), d 2.051, I 31
(4 2 2), d 1.675, I 41
(4 4 0), d 1.450, I 19
(6 2 0), d 1.297, I 18
(4 4 4), d 1.184, I 6
(6 4 2), d 1.096, I 22

Atomic structure:
```
data_KNdHfSnO6
_chemical_formula_sum 'K4 Nd4 Hf4 Sn4 O24'
_cell_length_a 8.203
_cell_length_b 8.203
_cell_length_c 8.203
_cell_angle_alpha 90.00
_cell_angle_beta 90.00
_cell_angle_gamma 90.00
_symmetry_space_group_name_H-M 'F -4 3 m'
_symmetry_Int_Tables_number 216
_symmetry_space_group_name_Hall 'F -4 2 3'
loop_
_atom_site_label
_atom_site_type_symbol
_atom_site_fract_x
_atom_site_fract_y
_atom_site_fract_z
_atom_site_occupancy
K1 K 0.000 0.000 0.000 1
Nd1 Nd 0.000 0.000 0.500 1
Hf1 Hf 0.250 0.250 0.250 1
Sn1 Sn 0.250 0.250 0.750 1
O1 O 0.000 0.250 0.250 1
```

---

# 4
Structure and calculated powder X-ray diffraction pattern of KHfNi (a structure optimized by DFT (PBE); Cu Kα (weighted mean of Kα1 and Kα2)).
Peak positions follow from Bragg's law for the DFT cell and can differ from measured ones.

Largest 10 diffraction maxima, by angle, 10 to 90 degrees two-theta:
(1 1 1), d 3.748, I 43
(2 0 0), d 3.246, I 65
(2 2 0), d 2.295, I 100
(3 1 1), d 1.958, I 22
(2 2 2), d 1.874, I 19
(4 0 0), d 1.623, I 17
(3 3 1), d 1.489, I 10
(4 2 0), d 1.452, I 25
(4 2 2), d 1.325, I 33
(4 4 0), d 1.148, I 10

Atomic structure:
```
data_KHfNi
_chemical_formula_sum 'K4 Hf4 Ni4'
_cell_length_a 6.493
_cell_length_b 6.493
_cell_length_c 6.493
_cell_angle_alpha 90.00
_cell_angle_beta 90.00
_cell_angle_gamma 90.00
_symmetry_space_group_name_H-M 'F -4 3 m'
_symmetry_Int_Tables_number 216
_symmetry_space_group_name_Hall 'F -4 2 3'
loop_
_atom_site_label
_atom_site_type_symbol
_atom_site_fract_x
_atom_site_fract_y
_atom_site_fract_z
_atom_site_occupancy
K1 K 0.000 0.000 0.000 1
Hf1 Hf 0.250 0.250 0.750 1
Ni1 Ni 0.250 0.250 0.250 1
```

---

# 5
Structure and calculated powder X-ray diffraction pattern of K4HfO4 (a structure optimized by DFT (PBE); Cu Kα (weighted mean of Kα1 and Kα2)).
Peak positions follow from Bragg's law for the DFT cell and can differ from measured ones.

Largest 10 diffraction maxima, by angle, 10 to 90 degrees two-theta:
(0 1 1), d 5.714, I 64
(1 1 0), d 5.287, I 48
(1 0 1), d 5.238, I 50
(1 0 -1), d 4.969, I 48
(0 1 3), d 3.126, I 44
(1 1 -2), d 3.085, I 65
(2 0 0), d 3.042, I 100
(2 2 1), d 2.760, I 46
(1 -1 2), d 2.698, I 44
(-1 1 3), d 2.535, I 36

Atomic structure:
```
data_K4HfO4
_chemical_formula_sum 'K8 Hf2 O8'
_cell_length_a 6.615
_cell_length_b 6.624
_cell_length_c 9.870
_cell_angle_alpha 71.89
_cell_angle_beta 80.09
_cell_angle_gamma 66.98
_symmetry_space_group_name_H-M 'P -1'
_symmetry_Int_Tables_number 2
loop_
_symmetry_equiv_pos_as_xyz
'x,y,z'
'-x,-y,-z'
loop_
_atom_site_label
_atom_site_type_symbol
_atom_site_fract_x
_atom_site_fract_y
_atom_site_fract_z
_atom_site_occupancy
K1 K 0.222 0.459 0.118 1
K2 K 0.243 0.264 0.526 1
K3 K 0.258 0.912 0.333 1
K4 K 0.273 0.013 0.941 1
Hf1 Hf 0.277 0.654 0.746 1
O1 O 0.040 0.791 0.878 1
O2 O 0.132 0.659 0.586 1
O3 O 0.458 0.345 0.852 1
O4 O 0.462 0.842 0.691 1
```

---

# 6
Structure and calculated powder X-ray diffraction pattern of KHfO3 (a structure optimized by DFT (PBE); Cu Kα (weighted mean of Kα1 and Kα2)).
Peak positions follow from Bragg's law for the DFT cell and can differ from measured ones.

Largest 10 diffraction maxima, by angle, 10 to 90 degrees two-theta:
(1 0 0), d 4.178, I 68
(1 1 0), d 2.954, I 100
(1 1 1), d 2.412, I 7
(2 0 0), d 2.089, I 32
(2 1 0), d 1.868, I 31
(2 1 1), d 1.706, I 40
(2 2 0), d 1.477, I 20
(3 0 0), d 1.393, I 15
(3 1 0), d 1.321, I 17
(3 2 1), d 1.117, I 21

Atomic structure:
```
data_KHfO3
_chemical_formula_sum 'K1 Hf1 O3'
_cell_length_a 4.178
_cell_length_b 4.178
_cell_length_c 4.178
_cell_angle_alpha 90.00
_cell_angle_beta 90.00
_cell_angle_gamma 90.00
_symmetry_space_group_name_H-M 'P m -3 m'
_symmetry_Int_Tables_number 221
_symmetry_space_group_name_Hall '-P 4 2 3'
loop_
_atom_site_label
_atom_site_type_symbol
_atom_site_fract_x
_atom_site_fract_y
_atom_site_fract_z
_atom_site_occupancy
K1 K 0.000 0.000 0.000 1
Hf1 Hf 0.500 0.500 0.500 1
O1 O 0.000 0.500 0.500 1
```